This entry pairs a crystal structure of Li3V4O7F5 with its simulated powder diffraction line list. Radiation: CuKα. Structure: a DFT-relaxed cell (GGA+U, Alexandria).

Atomic structure:
a = 5.3306 Å, b = 5.6917 Å, c = 9.0905 Å
α = 94.87°, β = 94.75°, γ = 114.70°
Space group P1 (No. 1)
Symmetry-distinct sites (fractional):
Li  0.0000  0.0000  0.0000 x1
Li  0.1231  0.0128  0.6730 x1
Li  0.7624  0.7788  0.3252 x1
V  0.2175  0.3363  0.3591 x1
V  0.3152  0.5424  0.0024 x1
V  0.6789  0.4032  0.8411 x1
V  0.7627  0.3451  0.4923 x1
O  0.3023  0.2544  0.8703 x1
O  0.3986  0.5160  0.1873 x1
O  0.5267  0.5352  0.4790 x1
O  0.6582  0.7024  0.9218 x1
O  0.8991  0.3316  0.9598 x1
O  0.9751  0.1435  0.4970 x1
O  0.9939  0.5303  0.3736 x1
F  0.2490  0.8383  0.9917 x1
F  0.4509  0.0992  0.3566 x1
F  0.5343  0.1461  0.6521 x1
F  0.9341  0.5951  0.6864 x1
F  0.9763  0.0443  0.2102 x1

Largest 10 diffraction maxima, low angle first, 5° ≤ 2θ ≤ 70°:
h k l	two_theta	I/Imax
0 1 0	17.3	100
0 1 -1	18.8	27
0 0 2	19.8	57
-1 1 1	21.5	22
1 -1 1	21.7	30
1 0 1	22.1	34
0 1 -2	24.6	28
1 0 3	37.4	19
2 -2 0	38.9	21
2 0 -2	40.2	17